(1)
Structure and theoretical PXRD pattern of La2PrSe4 (a DFT-relaxed cell (GGA-PBE, Alexandria); Cu Ka).
Intensities are scaled so that the largest is 100.

Top 6 peaks for 2θ from 10° to 90°, by intensity:
(hkl), 2θ (°), intensity
2 2 0, 29.3, 100
2 2 4, 42.2, 91
0 0 4, 29.8, 48
1 0 1, 12.7, 27
0 4 4, 52.0, 20
4 0 4, 52.5, 19

Cell: 8.573 8.676 12.011 Å, 90.00 90.00 90.00°
Space group Imma (No. 74)
Symmetry-distinct sites (fractional):
La (0.000, 0.000, 0.000) [4 per cell]
La (0.250, 0.250, 0.250) [4 per cell]
Pr (0.250, 0.250, 0.750) [4 per cell]
Se (0.000, 0.001, 0.747) [8 per cell]
Se (0.242, 0.250, 0.999) [8 per cell]

(2)
Structure and theoretical PXRD pattern of Tm6TeC4 (a DFT-relaxed cell (GGA-PBE, Alexandria); Cu Ka).
Intensities are scaled so that the largest is 100.

Top 6 peaks for 2θ from 10° to 90°, by intensity:
(hkl), 2θ (°), intensity
1 1 4, 31.9, 100
1 3 2, 34.6, 82
0 2 6, 32.2, 78
2 2 6, 60.7, 36
0 4 2, 31.2, 31
1 1 3, 29.3, 31

Cell: 3.652 12.032 18.799 Å, 90.00 90.00 90.00°
Space group Cmcm (No. 63)
Symmetry-distinct sites (fractional):
Tm (0.000, 0.000, 0.000) [4 per cell]
Tm (0.000, 0.145, 0.250) [4 per cell]
Tm (0.000, 0.276, 0.576) [8 per cell]
Tm (0.000, 0.467, 0.145) [8 per cell]
Te (0.000, 0.160, 0.750) [4 per cell]
C (0.000, 0.091, 0.127) [8 per cell]
C (0.000, 0.363, 0.042) [8 per cell]

(3)
Structure and theoretical PXRD pattern of Tb3CuTe6 (a DFT-relaxed cell (GGA-PBE, Alexandria); Cu Ka).
Intensities are scaled so that the largest is 100.

Top 6 peaks for 2θ from 10° to 90°, by intensity:
(hkl), 2θ (°), intensity
3 3 1, 31.7, 100
3 1 2, 33.1, 91
2 2 1, 22.8, 50
0 4 2, 35.5, 50
3 5 0, 39.5, 41
1 3 1, 23.9, 38

Cell: 12.260 13.748 7.480 Å, 90.00 90.00 90.00°
Space group Cmc2_1 (No. 36)
Symmetry-distinct sites (fractional):
Tb (0.000, 0.105, 0.000) [4 per cell]
Tb (0.173, 0.403, 0.097) [8 per cell]
Cu (0.000, 0.282, 0.643) [4 per cell]
Te (0.000, 0.277, 0.293) [4 per cell]
Te (0.000, 0.458, 0.791) [4 per cell]
Te (0.163, 0.038, 0.301) [8 per cell]
Te (0.174, 0.233, 0.810) [8 per cell]

(4)
Structure and theoretical PXRD pattern of Li7Sn3 (a DFT-relaxed cell (GGA-PBE, Alexandria); Cu Ka).
Intensities are scaled so that the largest is 100.

Top 6 peaks for 2θ from 10° to 90°, by intensity:
(hkl), 2θ (°), intensity
1 1 0, 21.7, 100
2 1 2, 38.6, 92
2 0 -2, 24.9, 79
1 1 -2, 27.2, 35
2 2 -2, 46.0, 32
0 2 0, 38.0, 24

Cell: 8.463 4.730 9.502 Å, 90.00 106.45 90.00°
Space group P2_1/m (No. 11)
Symmetry-distinct sites (fractional):
Li (0.004, 0.250, 0.378) [2 per cell]
Li (0.008, 0.750, 0.129) [2 per cell]
Li (0.188, 0.250, 0.167) [2 per cell]
Li (0.202, 0.250, 0.681) [2 per cell]
Li (0.395, 0.750, 0.724) [2 per cell]
Li (0.402, 0.250, 0.464) [2 per cell]
Li (0.403, 0.250, 0.988) [2 per cell]
Sn (0.196, 0.750, 0.432) [2 per cell]
Sn (0.196, 0.750, 0.916) [2 per cell]
Sn (0.407, 0.750, 0.226) [2 per cell]

(5)
Structure and theoretical PXRD pattern of Rb4U3SnO12 (a DFT-relaxed cell (GGA-PBE, Alexandria); Cu Ka).
Intensities are scaled so that the largest is 100.

Top 6 peaks for 2θ from 10° to 90°, by intensity:
(hkl), 2θ (°), intensity
2 2 0, 28.6, 100
4 2 2, 50.7, 42
4 0 0, 40.9, 29
2 0 0, 20.1, 27
6 4 2, 81.7, 23
6 2 0, 67.2, 20

Cell: 8.816 8.816 8.816 Å, 90.00 90.00 90.00°
Space group Im-3m (No. 229)
Symmetry-distinct sites (fractional):
Rb (0.250, 0.250, 0.250) [8 per cell]
U (0.000, 0.000, 0.500) [6 per cell]
Sn (0.000, 0.000, 0.000) [2 per cell]
O (0.000, 0.000, 0.278) [12 per cell]
O (0.000, 0.250, 0.500) [12 per cell]

(6)
Structure and theoretical PXRD pattern of NaSrSnPb (a DFT-relaxed cell (GGA-PBE, Alexandria); Cu Ka).
Intensities are scaled so that the largest is 100.

Top 6 peaks for 2θ from 10° to 90°, by intensity:
(hkl), 2θ (°), intensity
1 1 2, 32.5, 100
2 0 0, 30.3, 60
3 1 2, 55.3, 45
1 0 1, 19.3, 41
2 2 0, 43.4, 23
2 0 4, 59.3, 18

Cell: 5.895 5.895 7.341 Å, 90.00 90.00 90.00°
Space group I-4m2 (No. 119)
Symmetry-distinct sites (fractional):
Na (0.000, 0.000, 0.000) [2 per cell]
Sr (0.000, 0.500, 0.750) [2 per cell]
Sn (0.000, 0.000, 0.500) [2 per cell]
Pb (0.000, 0.500, 0.250) [2 per cell]